[1]
# Li3As
Simulated powder X-ray diffraction pattern, λ = 1.5418 Å (Cu Kα). Input: a GGA-PBE-relaxed structure.
Neutral-atom scattering factors, no anomalous dispersion.

abc: 4.375 4.375 7.813
angles: 90.00 90.00 120.00
Fractional positions:
Li: 0.000 0.000 0.250
Li: 0.000 0.000 0.750
Li: 0.333 0.667 0.085
Li: 0.333 0.667 0.415
Li: 0.667 0.333 0.585
Li: 0.667 0.333 0.915
As: 0.333 0.667 0.750
As: 0.667 0.333 0.250

Top 10 peaks for 10° ≤ 2θ ≤ 90°, by intensity:
| 2θ (°) | I_rel |
| --- | --- |
| 26.14 | 100 |
| 42.10 | 41 |
| 22.76 | 36 |
| 41.27 | 32 |
| 47.64 | 29 |
| 23.48 | 25 |
| 49.51 | 17 |
| 66.36 | 14 |
| 75.81 | 14 |
| 60.42 | 14 |


[2]
# Li7MnAs4
Simulated powder X-ray diffraction pattern, λ = 1.5418 Å (Cu Kα). Input: a GGA-PBE-relaxed structure.
Neutral-atom scattering factors, no anomalous dispersion.

abc: 6.034 8.447 8.470
angles: 89.97 89.70 89.88
Fractional positions:
Li: 0.000 0.000 0.000
Li: 0.000 0.003 0.474
Li: 0.000 0.240 0.236
Li: 0.001 0.477 0.477
Li: 0.001 0.480 0.997
Li: 0.062 0.236 0.737
Li: 0.428 0.756 0.234
Li: 0.499 0.506 0.493
Li: 0.499 0.741 0.735
Li: 0.500 0.503 0.975
Li: 0.500 0.980 0.498
Li: 0.500 0.983 0.970
Li: 0.564 0.244 0.728
Li: 0.931 0.739 0.244
Mn: 0.000 0.742 0.734
Mn: 0.498 0.241 0.238
As: 0.212 0.741 0.502
As: 0.213 0.741 0.970
As: 0.287 0.242 0.003
As: 0.288 0.242 0.467
As: 0.713 0.008 0.235
As: 0.713 0.473 0.235
As: 0.786 0.507 0.736
As: 0.786 0.977 0.736

Top 10 peaks for 10° ≤ 2θ ≤ 90°, by intensity:
| 2θ (°) | I_rel |
| --- | --- |
| 25.68 | 100 |
| 25.77 | 99 |
| 42.67 | 57 |
| 18.06 | 43 |
| 42.48 | 37 |
| 50.60 | 35 |
| 29.88 | 34 |
| 14.81 | 29 |
| 42.82 | 21 |
| 50.46 | 14 |


[3]
# Li11MnAs6
Simulated powder X-ray diffraction pattern, λ = 1.5418 Å (Cu Kα). Input: a GGA-PBE-relaxed structure.
Neutral-atom scattering factors, no anomalous dispersion.

abc: 14.174 7.366 13.529
angles: 79.48 30.73 69.79
Fractional positions:
Li: 0.000 0.000 0.000
Li: 0.082 0.403 0.585
Li: 0.084 0.404 0.086
Li: 0.154 0.838 0.678
Li: 0.164 0.824 0.166
Li: 0.235 0.235 0.765
Li: 0.250 0.250 0.250
Li: 0.320 0.665 0.847
Li: 0.332 0.653 0.338
Li: 0.403 0.082 0.930
Li: 0.404 0.084 0.426
Li: 0.485 0.485 0.015
Li: 0.487 0.487 0.513
Li: 0.572 0.921 0.096
Li: 0.573 0.912 0.597
Li: 0.653 0.332 0.677
Li: 0.665 0.320 0.168
Li: 0.737 0.737 0.763
Li: 0.824 0.164 0.846
Li: 0.838 0.154 0.329
Li: 0.912 0.573 0.918
Li: 0.921 0.572 0.412
Mn: 0.744 0.744 0.256
Mn: 0.994 0.994 0.506
As: 0.034 0.206 0.798
As: 0.076 0.631 0.924
As: 0.206 0.034 0.962
As: 0.288 0.452 0.044
As: 0.326 0.880 0.174
As: 0.452 0.288 0.216
As: 0.556 0.703 0.296
As: 0.631 0.076 0.370
As: 0.703 0.556 0.445
As: 0.805 0.954 0.547
As: 0.880 0.326 0.619
As: 0.954 0.805 0.694

Top 10 peaks for 10° ≤ 2θ ≤ 90°, by intensity:
| 2θ (°) | I_rel |
| --- | --- |
| 25.59 | 100 |
| 42.43 | 45 |
| 29.57 | 18 |
| 50.15 | 13 |
| 50.05 | 13 |
| 50.34 | 13 |
| 29.75 | 9 |
| 42.23 | 9 |
| 13.19 | 8 |
| 67.75 | 7 |


[4]
# LiMnAs
Simulated powder X-ray diffraction pattern, λ = 1.5418 Å (Cu Kα). Input: a GGA-PBE-relaxed structure.
Neutral-atom scattering factors, no anomalous dispersion.

abc: 3.921 3.921 6.140
angles: 90.00 90.00 90.00
Fractional positions:
Li: 0.250 0.750 0.000
Li: 0.750 0.250 0.000
Mn: 0.250 0.750 0.500
Mn: 0.750 0.250 0.500
As: 0.250 0.250 0.271
As: 0.750 0.750 0.729

Top 10 peaks for 10° ≤ 2θ ≤ 90°, by intensity:
| 2θ (°) | I_rel |
| --- | --- |
| 26.98 | 100 |
| 44.00 | 81 |
| 14.42 | 73 |
| 46.31 | 36 |
| 54.41 | 28 |
| 84.21 | 23 |
| 50.29 | 15 |
| 55.83 | 14 |
| 35.53 | 13 |
| 48.76 | 12 |


[5]
# Li3MnAs2
Simulated powder X-ray diffraction pattern, λ = 1.5418 Å (Cu Kα). Input: a GGA-PBE-relaxed structure.
Neutral-atom scattering factors, no anomalous dispersion.

abc: 4.226 4.226 6.018
angles: 90.00 90.00 90.00
Fractional positions:
Li: 0.000 0.000 0.000
Li: 0.000 0.000 0.500
Li: 0.500 0.500 0.000
Mn: 0.500 0.500 0.500
As: 0.000 0.500 0.732
As: 0.500 0.000 0.268

Top 10 peaks for 10° ≤ 2θ ≤ 90°, by intensity:
| 2θ (°) | I_rel |
| --- | --- |
| 25.76 | 100 |
| 42.64 | 48 |
| 50.63 | 30 |
| 42.80 | 24 |
| 14.72 | 17 |
| 78.28 | 15 |
| 50.35 | 14 |
| 68.17 | 11 |
| 29.90 | 9 |
| 21.02 | 8 |


[6]
# Li7MnAs4
Simulated powder X-ray diffraction pattern, λ = 1.5418 Å (Cu Kα). Input: a GGA-PBE-relaxed structure.
Neutral-atom scattering factors, no anomalous dispersion.

abc: 8.585 8.585 6.036
angles: 90.00 90.00 90.00
Fractional positions:
Li: 0.005 0.505 0.250
Li: 0.005 0.995 0.250
Li: 0.250 0.250 0.004
Li: 0.250 0.250 0.504
Li: 0.250 0.750 0.250
Li: 0.495 0.505 0.250
Li: 0.495 0.995 0.250
Li: 0.505 0.005 0.750
Li: 0.505 0.495 0.750
Li: 0.750 0.250 0.750
Li: 0.750 0.750 0.496
Li: 0.750 0.750 0.996
Li: 0.995 0.005 0.750
Li: 0.995 0.495 0.750
Mn: 0.250 0.750 0.750
Mn: 0.750 0.250 0.250
As: 0.022 0.750 0.992
As: 0.250 0.522 0.508
As: 0.250 0.978 0.508
As: 0.478 0.750 0.992
As: 0.522 0.250 0.008
As: 0.750 0.022 0.492
As: 0.750 0.478 0.492
As: 0.978 0.250 0.008

Top 10 peaks for 10° ≤ 2θ ≤ 90°, by intensity:
| 2θ (°) | I_rel |
| --- | --- |
| 25.46 | 100 |
| 42.23 | 37 |
| 49.85 | 27 |
| 42.10 | 20 |
| 14.59 | 18 |
| 29.43 | 16 |
| 50.07 | 15 |
| 67.43 | 10 |
| 29.60 | 10 |
| 77.03 | 9 |


[7]
# Li13Mn6As8
Simulated powder X-ray diffraction pattern, λ = 1.5418 Å (Cu Kα). Input: a GGA-PBE-relaxed structure.
Neutral-atom scattering factors, no anomalous dispersion.

abc: 8.604 6.039 8.620
angles: 90.00 90.88 90.00
Fractional positions:
Li: 0.000 0.000 0.000
Li: 0.002 0.264 0.747
Li: 0.002 0.736 0.747
Li: 0.256 0.276 0.007
Li: 0.256 0.724 0.007
Li: 0.492 0.248 0.268
Li: 0.492 0.752 0.268
Li: 0.514 0.000 0.011
Li: 0.747 0.500 0.252
Li: 0.756 0.235 0.516
Li: 0.756 0.765 0.516
Li: 0.757 0.268 0.993
Li: 0.757 0.732 0.993
Mn: 0.012 0.248 0.265
Mn: 0.012 0.752 0.265
Mn: 0.254 0.246 0.507
Mn: 0.254 0.754 0.507
Mn: 0.507 0.258 0.751
Mn: 0.507 0.742 0.751
As: 0.002 0.500 0.021
As: 0.013 0.500 0.498
As: 0.251 0.000 0.261
As: 0.260 0.000 0.754
As: 0.499 0.500 0.508
As: 0.510 0.500 0.007
As: 0.749 0.000 0.768
As: 0.763 0.000 0.246

Top 10 peaks for 10° ≤ 2θ ≤ 90°, by intensity:
| 2θ (°) | I_rel |
| --- | --- |
| 25.41 | 100 |
| 41.98 | 72 |
| 42.32 | 36 |
| 14.44 | 34 |
| 50.01 | 31 |
| 49.40 | 15 |
| 10.27 | 11 |
| 61.39 | 11 |
| 77.20 | 11 |
| 77.12 | 11 |


[8]
# Li3MnAs2
Simulated powder X-ray diffraction pattern, λ = 1.5418 Å (Cu Kα). Input: a GGA-PBE-relaxed structure.
Neutral-atom scattering factors, no anomalous dispersion.

abc: 4.109 4.109 11.688
angles: 90.00 90.00 90.00
Fractional positions:
Li: 0.250 0.750 0.002
Li: 0.250 0.750 0.498
Li: 0.250 0.750 0.750
Li: 0.750 0.250 0.250
Li: 0.750 0.250 0.502
Li: 0.750 0.250 0.998
Mn: 0.250 0.750 0.250
Mn: 0.750 0.250 0.750
As: 0.250 0.250 0.142
As: 0.250 0.250 0.642
As: 0.750 0.750 0.358
As: 0.750 0.750 0.858

Top 10 peaks for 10° ≤ 2θ ≤ 90°, by intensity:
| 2θ (°) | I_rel |
| --- | --- |
| 26.52 | 100 |
| 43.95 | 49 |
| 15.16 | 31 |
| 52.18 | 30 |
| 44.08 | 28 |
| 22.94 | 17 |
| 80.98 | 15 |
| 56.91 | 10 |
| 30.77 | 10 |
| 51.95 | 10 |


[9]
# Li19Mn9As12
Simulated powder X-ray diffraction pattern, λ = 1.5418 Å (Cu Kα). Input: a GGA-PBE-relaxed structure.
Neutral-atom scattering factors, no anomalous dispersion.

abc: 4.230 4.232 36.977
angles: 90.00 90.00 90.00
Fractional positions:
Li: 0.000 0.000 0.000
Li: 0.000 0.000 0.072
Li: 0.000 0.000 0.247
Li: 0.000 0.000 0.408
Li: 0.000 0.000 0.580
Li: 0.000 0.000 0.741
Li: 0.000 0.000 0.911
Li: 0.000 0.500 0.116
Li: 0.000 0.500 0.453
Li: 0.000 0.500 0.788
Li: 0.000 0.500 0.956
Li: 0.500 0.500 0.000
Li: 0.500 0.500 0.072
Li: 0.500 0.500 0.247
Li: 0.500 0.500 0.408
Li: 0.500 0.500 0.580
Li: 0.500 0.500 0.742
Li: 0.500 0.500 0.833
Li: 0.500 0.500 0.910
Mn: 0.000 0.000 0.165
Mn: 0.000 0.000 0.329
Mn: 0.000 0.000 0.498
Mn: 0.000 0.000 0.662
Mn: 0.000 0.000 0.832
Mn: 0.500 0.500 0.165
Mn: 0.500 0.500 0.329
Mn: 0.500 0.500 0.498
Mn: 0.500 0.500 0.662
As: 0.000 0.500 0.039
As: 0.000 0.500 0.202
As: 0.000 0.500 0.368
As: 0.000 0.500 0.536
As: 0.000 0.500 0.700
As: 0.000 0.500 0.869
As: 0.500 0.000 0.126
As: 0.500 0.000 0.291
As: 0.500 0.000 0.457
As: 0.500 0.000 0.625
As: 0.500 0.000 0.788
As: 0.500 0.000 0.954

Top 10 peaks for 10° ≤ 2θ ≤ 90°, by intensity:
| 2θ (°) | I_rel |
| --- | --- |
| 25.54 | 100 |
| 42.10 | 71 |
| 42.75 | 36 |
| 14.37 | 34 |
| 50.46 | 30 |
| 77.83 | 22 |
| 49.31 | 15 |
| 67.27 | 11 |
| 62.05 | 11 |
| 76.49 | 10 |


[10]
# Li7MnAs4
Simulated powder X-ray diffraction pattern, λ = 1.5418 Å (Cu Kα). Input: a GGA-PBE-relaxed structure.
Neutral-atom scattering factors, no anomalous dispersion.

abc: 6.034 8.459 8.459
angles: 89.97 89.79 89.79
Fractional positions:
Li: 0.000 0.000 0.000
Li: 0.000 0.237 0.763
Li: 0.000 0.760 0.240
Li: 0.001 0.240 0.237
Li: 0.062 0.501 0.997
Li: 0.438 0.998 0.504
Li: 0.499 0.259 0.263
Li: 0.500 0.263 0.737
Li: 0.500 0.500 0.500
Li: 0.500 0.739 0.261
Li: 0.501 0.737 0.741
Li: 0.572 0.483 0.003
Li: 0.938 0.003 0.499
Li: 0.999 0.763 0.760
Mn: 0.000 0.498 0.502
Mn: 0.500 0.002 0.998
As: 0.213 0.734 0.501
As: 0.214 0.263 0.501
As: 0.286 0.237 0.000
As: 0.287 0.766 0.999
As: 0.713 0.001 0.234
As: 0.714 0.000 0.763
As: 0.786 0.499 0.737
As: 0.787 0.499 0.266

Top 10 peaks for 10° ≤ 2θ ≤ 90°, by intensity:
| 2θ (°) | I_rel |
| --- | --- |
| 25.72 | 100 |
| 42.73 | 31 |
| 18.06 | 21 |
| 42.57 | 18 |
| 29.88 | 17 |
| 50.62 | 15 |
| 50.52 | 14 |
| 14.81 | 13 |
| 42.44 | 9 |
| 29.61 | 7 |


Q: Number 5 is which compound?
A: Li3MnAs2


Q: Number 3 is which compound?
A: Li11MnAs6